Diffraction record for Pm4Te2H9. The X-ray powder pattern is theoretical, not measured: it uses the GGA-PBE geometry in Alexandria and Cu Ka.
Peak positions follow from Bragg's law for the DFT cell and can differ from measured ones.

Cell and atoms:
Lattice parameters (Å, degrees): 3.9378 3.9378 15.3562 90.00 90.00 120.00
Element x y z (fractional)
Pm (0.3333, 0.6667, 0.1066)
Pm (0.3333, 0.6667, 0.3977)
Pm (0.6667, 0.3333, 0.6023)
Pm (0.6667, 0.3333, 0.8934)
Te (0.3333, 0.6667, 0.7500)
Te (0.6667, 0.3333, 0.2500)
H (0.0000, 0.0000, 0.0986)
H (0.0000, 0.0000, 0.3729)
H (0.0000, 0.0000, 0.5000)
H (0.0000, 0.0000, 0.6271)
H (0.0000, 0.0000, 0.9014)
H (0.3333, 0.6667, 0.5474)
H (0.3333, 0.6667, 0.9546)
H (0.6667, 0.3333, 0.0454)
H (0.6667, 0.3333, 0.4526)

The 10 most intense peaks (10° ≤ 2θ ≤ 90°), by intensity:
2θ/deg  d_spacing  I_rel
31.5  2.838  100
26.1  3.410  30
46.1  1.969  27
56.9  1.618  19
59.2  1.560  16
76.2  1.250  16
35.1  2.559  12
39.5  2.282  10
44.2  2.047  9
73.3  1.292  7

=====

Diffraction record for Pm2Y4Te3H2. The X-ray powder pattern is theoretical, not measured: it uses the GGA-PBE geometry in Alexandria and Cu Ka.
Peak positions follow from Bragg's law for the DFT cell and can differ from measured ones.

Cell and atoms:
Lattice parameters (Å, degrees): 13.6121 13.6121 13.6121 160.99 160.99 27.01
Element x y z (fractional)
Pm (0.2066, 0.2066, 0.0000)
Pm (0.7934, 0.7934, 0.0000)
Y (0.0837, 0.5837, 0.5000)
Y (0.4163, 0.9163, 0.5000)
Y (0.5837, 0.0837, 0.5000)
Y (0.9163, 0.4163, 0.5000)
Te (0.3288, 0.3288, 0.0000)
Te (0.5000, 0.5000, 0.0000)
Te (0.6712, 0.6712, 0.0000)
H (0.0683, 0.0683, 0.0000)
H (0.9317, 0.9317, 0.0000)

The 10 most intense peaks (10° ≤ 2θ ≤ 90°), by intensity:
2θ/deg  d_spacing  I_rel
34.8  2.579  100
40.1  2.248  64
30.9  2.894  57
28.9  3.091  57
31.2  2.866  28
51.5  1.775  27
69.5  1.353  26
58.0  1.590  21
20.0  4.433  18
28.1  3.179  15

=====

Diffraction record for Pm5Tl2H2. The X-ray powder pattern is theoretical, not measured: it uses the GGA-PBE geometry in Alexandria and Cu Ka.
Peak positions follow from Bragg's law for the DFT cell and can differ from measured ones.

Cell and atoms:
Lattice parameters (Å, degrees): 11.1637 11.1637 11.1637 51.21 145.04 143.80
Element x y z (fractional)
Pm (0.2479, 0.2552, 0.4927)
Pm (0.2500, 0.0058, 0.2558)
Pm (0.2500, 0.4942, 0.7441)
Pm (0.6803, 0.1079, 0.2927)
Pm (0.6803, 0.8876, 0.0723)
Pm (0.7500, 0.5058, 0.2559)
Pm (0.7500, 0.9942, 0.7442)
Pm (0.7625, 0.7552, 0.5073)
Pm (0.8152, 0.3876, 0.7073)
Pm (0.8152, 0.6079, 0.9277)
Tl (0.2140, 0.1271, 0.8374)
Tl (0.2140, 0.8766, 0.5869)
Tl (0.2897, 0.3766, 0.1626)
Tl (0.2897, 0.6271, 0.4131)
H (0.7244, 0.4992, 0.7251)
H (0.7497, 0.2497, 0.5000)
H (0.7497, 0.7497, 0.0000)
H (0.7741, 0.9992, 0.2749)

The 10 most intense peaks (10° ≤ 2θ ≤ 90°), by intensity:
2θ/deg  d_spacing  I_rel
31.3  2.856  100
32.1  2.791  72
37.3  2.412  62
52.6  1.741  35
35.7  2.517  32
63.1  1.473  21
61.4  1.510  19
29.9  2.985  16
52.8  1.734  12
32.5  2.753  11

=====

Diffraction record for Pm2TlH. The X-ray powder pattern is theoretical, not measured: it uses the GGA-PBE geometry in Alexandria and Cu Ka.
Peak positions follow from Bragg's law for the DFT cell and can differ from measured ones.

Cell and atoms:
Lattice parameters (Å, degrees): 5.6005 12.4145 5.5432 90.00 90.00 90.00
Element x y z (fractional)
Pm (0.2496, 0.0977, 0.0000)
Pm (0.2504, 0.4023, 0.0000)
Pm (0.2504, 0.5977, 0.5000)
Pm (0.2496, 0.9023, 0.5000)
Pm (0.7504, 0.0977, 0.5000)
Pm (0.7496, 0.4023, 0.5000)
Pm (0.7496, 0.5977, 0.0000)
Pm (0.7504, 0.9023, 0.0000)
Tl (0.2500, 0.2500, 0.5000)
Tl (0.2500, 0.7500, 0.0000)
Tl (0.7500, 0.2500, 0.0000)
Tl (0.7500, 0.7500, 0.5000)
H (0.0000, 0.0000, 0.2500)
H (0.0000, 0.0000, 0.7500)
H (0.5000, 0.5000, 0.2500)
H (0.5000, 0.5000, 0.7500)

The 10 most intense peaks (10° ≤ 2θ ≤ 90°), by intensity:
2θ/deg  d_spacing  I_rel
31.3  2.853  100
32.0  2.800  25
32.3  2.772  24
56.6  1.627  19
57.0  1.615  19
46.1  1.970  18
65.4  1.427  11
55.2  1.664  9
55.4  1.658  9
43.8  2.069  9

=====

Diffraction record for PmH8W2. The X-ray powder pattern is theoretical, not measured: it uses the GGA-PBE geometry in Alexandria and Cu Ka.
Peak positions follow from Bragg's law for the DFT cell and can differ from measured ones.

Cell and atoms:
Lattice parameters (Å, degrees): 4.5081 4.8456 4.8467 117.83 90.19 90.12
Element x y z (fractional)
Pm (0.0000, 0.0000, 0.0000)
H (0.1091, 0.3802, 0.7566)
H (0.1092, 0.7575, 0.3754)
H (0.3155, 0.3594, 0.3576)
H (0.4321, 0.0244, 0.7669)
H (0.4361, 0.7699, 0.0227)
H (0.7321, 0.4229, 0.0441)
H (0.7336, 0.0455, 0.4241)
H (0.7549, 0.5987, 0.5972)
W (0.4988, 0.3667, 0.7064)
W (0.4988, 0.7080, 0.3648)

The 10 most intense peaks (10° ≤ 2θ ≤ 90°), by intensity:
2θ/deg  d_spacing  I_rel
37.1  2.421  100
29.2  3.053  86
28.7  3.113  78
28.8  3.099  77
35.9  2.502  54
19.7  4.508  45
40.0  2.254  41
55.8  1.648  32
55.6  1.652  32
62.4  1.487  23